Structure and computed powder diffraction line list of TbNi4P2 (a structure optimized by DFT (GGA-PBE); copper Kα).

The 8 most intense peaks (10° ≤ 2θ ≤ 80°), in order of falling intensity:
2θ = 37.8°, rel. 100, (2 1 1)
2θ = 40.1°, rel. 47, (3 1 0)
2θ = 71.4°, rel. 23, (5 0 1)
2θ = 43.9°, rel. 22, (2 2 1)
2θ = 47.7°, rel. 22, (3 1 1)
2θ = 66.5°, rel. 20, (3 1 2)
2θ = 50.7°, rel. 19, (0 0 2)
2θ = 27.8°, rel. 18, (1 0 1)

Crystal structure
a = 7.1041 Å, b = 7.1041 Å, c = 3.6016 Å
α = 90.00°, β = 90.00°, γ = 90.00°
Fractional positions:
Tb 0.0000 0.0000 0.0000
Tb 0.5000 0.5000 0.5000
Ni 0.0849 0.3373 0.5000
Ni 0.1627 0.5849 0.0000
Ni 0.3373 0.0849 0.5000
Ni 0.4151 0.8373 0.0000
Ni 0.5849 0.1627 0.0000
Ni 0.6627 0.9151 0.5000
Ni 0.8373 0.4151 0.0000
Ni 0.9151 0.6627 0.5000
P 0.2205 0.7795 0.5000
P 0.2795 0.2795 0.0000
P 0.7205 0.7205 0.0000
P 0.7795 0.2205 0.5000

Structure and computed powder diffraction line list of Tm2Zr8O19 (a structure optimized by DFT (GGA-PBE); copper Kα).

The 8 most intense peaks (10° ≤ 2θ ≤ 80°), in order of falling intensity:
2θ = 30.1°, rel. 100, (1 0 5)
2θ = 50.3°, rel. 54, (2 0 0)
2θ = 59.7°, rel. 40, (2 1 5)
2θ = 34.9°, rel. 25, (1 1 0)
2θ = 62.7°, rel. 7, (2 0 10)
2θ = 73.8°, rel. 5, (2 2 0)
2θ = 28.2°, rel. 3, (1 0 4)
2θ = 26.7°, rel. 2, (1 0 3)

Crystal structure
a = 3.6333 Å, b = 3.6333 Å, c = 25.6402 Å
α = 90.00°, β = 90.00°, γ = 90.00°
Fractional positions:
Tm 0.0000 0.5000 0.0558
Tm 0.5000 0.0000 0.9442
Zr 0.0000 0.5000 0.2511
Zr 0.0000 0.5000 0.4502
Zr 0.0000 0.5000 0.6494
Zr 0.0000 0.5000 0.8486
Zr 0.5000 0.0000 0.1514
Zr 0.5000 0.0000 0.3506
Zr 0.5000 0.0000 0.5498
Zr 0.5000 0.0000 0.7489
O 0.0000 0.0000 0.0000
O 0.0000 0.0000 0.1075
O 0.0000 0.0000 0.2064
O 0.0000 0.0000 0.3047
O 0.0000 0.0000 0.4024
O 0.0000 0.0000 0.5000
O 0.0000 0.0000 0.5976
O 0.0000 0.0000 0.6953
O 0.0000 0.0000 0.7936
O 0.0000 0.0000 0.8925
O 0.5000 0.5000 0.0959
O 0.5000 0.5000 0.1959
O 0.5000 0.5000 0.2967
O 0.5000 0.5000 0.3981
O 0.5000 0.5000 0.5000
O 0.5000 0.5000 0.6019
O 0.5000 0.5000 0.7033
O 0.5000 0.5000 0.8041
O 0.5000 0.5000 0.9041